CePr3Ho6: computed PXRD pattern (Cu Kα (weighted mean of Kα1 and Kα2)), based on a GGA-PBE-relaxed structure.

Crystal structure
```
CePr3Ho6
1.0
14.1420 0.0000 0.0000
0.0000 3.5754 0.0000
-5.8352 0.0000 13.0358
Ce Pr Ho
2 6 12
Direct
0.0900 0.2500 0.4890 Ce
0.9100 0.7500 0.5110 Ce
0.1139 0.7500 0.9582 Pr
0.3653 0.2500 0.9211 Pr
0.4619 0.2500 0.3782 Pr
0.5381 0.7500 0.6218 Pr
0.6347 0.7500 0.0789 Pr
0.8861 0.2500 0.0418 Pr
0.0370 0.7500 0.2656 Ho
0.1620 0.7500 0.7187 Ho
0.2068 0.2500 0.1951 Ho
0.2773 0.7500 0.4365 Ho
0.3462 0.2500 0.6649 Ho
0.3918 0.7500 0.1452 Ho
0.6082 0.2500 0.8548 Ho
0.6538 0.7500 0.3351 Ho
0.7227 0.2500 0.5635 Ho
0.7932 0.7500 0.8049 Ho
0.8380 0.2500 0.2813 Ho
0.9630 0.2500 0.7344 Ho
```

Main lines, low angle first (10° ≤ 2θ ≤ 80°):
- 2θ = 30.92°, I 65.2
- 2θ = 31.64°, I 22.3
- 2θ = 31.77°, I 100.0
- 2θ = 32.48°, I 28.3
- 2θ = 34.27°, I 21.6
- 2θ = 35.07°, I 70.4
- 2θ = 52.62°, I 21.4
- 2θ = 53.31°, I 19.6
- 2θ = 60.93°, I 19.0
- 2θ = 61.35°, I 20.3

***

CePr4Ho6: computed PXRD pattern (Cu Kα (weighted mean of Kα1 and Kα2)), based on a GGA-PBE-relaxed structure.

Crystal structure
```
CePr4Ho6
1.0
-3.3488 3.3488 8.4459
3.3488 -3.3488 8.4459
3.3488 3.3488 -8.4459
Ce Pr Ho
1 4 6
Direct
0.0000 0.0000 0.0000 Ce
0.0170 0.0170 0.3824 Pr
0.3654 0.9830 0.0000 Pr
0.6346 0.6346 0.6176 Pr
0.9830 0.3654 0.0000 Pr
0.0000 0.5000 0.5000 Ho
0.1963 0.5584 0.0000 Ho
0.4416 0.4416 0.6379 Ho
0.5000 0.0000 0.5000 Ho
0.5584 0.1963 0.0000 Ho
0.8037 0.8037 0.3621 Ho
```

Main lines, low angle first (10° ≤ 2θ ≤ 80°):
- 2θ = 28.31°, I 48.3
- 2θ = 28.68°, I 64.0
- 2θ = 29.62°, I 28.9
- 2θ = 30.31°, I 100.0
- 2θ = 34.17°, I 87.4
- 2θ = 37.15°, I 31.2
- 2θ = 38.00°, I 34.3
- 2θ = 40.24°, I 33.6
- 2θ = 56.95°, I 30.8
- 2θ = 57.97°, I 26.8

***

CePr10Ho6: computed PXRD pattern (Cu Kα (weighted mean of Kα1 and Kα2)), based on a GGA-PBE-relaxed structure.

Crystal structure
```
CePr10Ho6
1.0
9.8967 0.0000 0.0000
-4.9484 8.5708 0.0000
0.0000 0.0000 6.9643
Ce Pr Ho
1 10 6
Direct
0.0000 0.0000 0.0000 Ce
0.0000 0.2750 0.3173 Pr
0.0000 0.7250 0.6827 Pr
0.2750 0.0000 0.3173 Pr
0.2750 0.2750 0.6827 Pr
0.3333 0.6667 0.0000 Pr
0.3333 0.6667 0.5000 Pr
0.6667 0.3333 0.0000 Pr
0.6667 0.3333 0.5000 Pr
0.7250 0.0000 0.6827 Pr
0.7250 0.7250 0.3173 Pr
0.0000 0.3680 0.8132 Ho
0.0000 0.6320 0.1868 Ho
0.3680 0.0000 0.8132 Ho
0.3680 0.3680 0.1868 Ho
0.6320 0.0000 0.1868 Ho
0.6320 0.6320 0.8132 Ho
```

Main lines, low angle first (10° ≤ 2θ ≤ 80°):
- 2θ = 30.43°, I 39.0
- 2θ = 31.31°, I 80.4
- 2θ = 31.41°, I 100.0
- 2θ = 40.08°, I 9.0
- 2θ = 44.94°, I 26.7
- 2θ = 48.08°, I 13.1
- 2θ = 55.78°, I 25.7
- 2θ = 55.99°, I 19.0
- 2θ = 58.50°, I 8.5
- 2θ = 61.71°, I 11.1

***

Q: Number 1 is which compound?
A: CePr3Ho6